Structure and computed PXRD pattern of SrCuSb (DFT lattice parameters and positions (GGA-PBE); a wavelength of 1.5418 Å).

Top 10 peaks for 2θ from 5° to 70°, in order of rising 2θ:
| two_theta | d/Å | Rel. int. | index |
| --- | --- | --- | --- |
| 20.00 | 4.439 | 15 | 0 0 2 |
| 24.76 | 3.596 | 10 | 1 0 1 |
| 30.36 | 2.944 | 100 | 1 0 2 |
| 39.70 | 2.271 | 55 | 1 1 0 |
| 40.65 | 2.220 | 17 | 0 0 4 |
| 44.83 | 2.022 | 10 | 1 1 2 |
| 50.78 | 1.798 | 23 | 2 0 2 |
| 58.12 | 1.587 | 35 | 1 1 4 |
| 66.31 | 1.410 | 20 | 2 1 2 |
| 67.64 | 1.385 | 10 | 1 0 6 |

Atomic structure:
Cell: 4.5412 4.5412 8.8789 Å, 90.00 90.00 120.00°
Space group P6_3/mmc (No. 194)
Inequivalent atoms, fractional coordinates:
Sr 0.0000 0.0000 0.0000 [2 per cell]
Cu 0.3333 0.6667 0.2500 [2 per cell]
Sb 0.3333 0.6667 0.7500 [2 per cell]



Structure and computed PXRD pattern of Mo3WSe6S2 (DFT lattice parameters and positions (GGA-PBE); a wavelength of 1.5418 Å).

Top 10 peaks for 2θ from 5° to 70°, in order of rising 2θ:
| two_theta | d/Å | Rel. int. | index |
| --- | --- | --- | --- |
| 7.15 | 12.358 | 13 | 0 0 3 |
| 11.94 | 7.415 | 100 | 0 0 5 |
| 14.33 | 6.179 | 19 | 0 0 6 |
| 31.38 | 2.850 | 33 | 1 0 0 |
| 33.69 | 2.661 | 14 | 1 0 5 |
| 37.03 | 2.428 | 74 | 1 0 8 |
| 38.40 | 2.344 | 15 | 1 0 9 |
| 44.96 | 2.016 | 47 | 0 1 13 |
| 46.83 | 1.940 | 18 | 1 0 14 |
| 55.88 | 1.645 | 30 | 1 1 0 |

Atomic structure:
Cell: 3.2913 3.2913 37.0743 Å, 90.00 90.00 120.00°
Space group P3m1 (No. 156)
Inequivalent atoms, fractional coordinates:
Mo 0.0000 0.0000 0.0000 [1 per cell]
Mo 0.0000 0.0000 0.3758 [1 per cell]
Mo 0.6667 0.3333 0.8121 [1 per cell]
W 0.6667 0.3333 0.1879 [1 per cell]
Se 0.0000 0.0000 0.1422 [1 per cell]
Se 0.0000 0.0000 0.2336 [1 per cell]
Se 0.6667 0.3333 0.0455 [1 per cell]
Se 0.6667 0.3333 0.3303 [1 per cell]
Se 0.6667 0.3333 0.4212 [1 per cell]
Se 0.6667 0.3333 0.9546 [1 per cell]
S 0.0000 0.0000 0.7707 [1 per cell]
S 0.0000 0.0000 0.8535 [1 per cell]